Theoretical X-ray diffraction stick pattern of CsRb9Na2 for CuKα, from the PBE geometry in Alexandria.
Intensities are scaled so that the largest is 100.

The 8 most intense peaks (2θ = 10–80°), by intensity:
h k l, 2θ/deg, Rel. int.
4 2 0, 21.3, 100
5 0 1, 25.0, 40
5 5 2, 37.3, 23
5 3 4, 41.6, 16
1 0 3, 23.0, 14
8 4 0, 43.3, 13
10 0 0, 48.8, 11
3 0 1, 16.1, 10

Structure:
Cell lengths 18.6715, 18.6715, 11.8383 Å; angles 90.00, 90.00, 90.00 degrees
Space group I4_1/amd (No. 141, origin choice 2)
Unique sites:
Cs1 0.0000 0.2500 0.3750
Rb1 0.0000 0.2500 0.8750
Rb2 0.1223 0.0599 0.6787
Na1 0.0000 0.0000 0.0000

Theoretical X-ray diffraction stick pattern of Cs2Rb5Na2 for CuKα, from the PBE geometry in Alexandria.
Intensities are scaled so that the largest is 100.

The 8 most intense peaks (2θ = 10–80°), by intensity:
h k l, 2θ/deg, Rel. int.
4 0 0, 18.9, 100
2 0 -4, 22.5, 97
6 0 -3, 22.4, 88
3 1 1, 26.5, 87
4 0 1, 23.8, 69
5 1 -2, 26.0, 67
1 1 1, 20.9, 62
3 1 0, 23.1, 60

Structure:
Cell lengths 24.0166, 4.8975, 16.7641 Å; angles 90.00, 128.67, 90.00 degrees
Space group C2/m (No. 12)
Unique sites:
Cs1 0.1344 0.0000 0.3285
Rb1 0.0000 0.5000 0.0000
Rb2 0.1196 0.5000 0.5850
Rb3 0.1961 0.0000 0.0595
Na1 0.0624 0.5000 0.7798

Theoretical X-ray diffraction stick pattern of Cs2Na12S7 for CuKα, from the PBE geometry in Alexandria.
Intensities are scaled so that the largest is 100.

The 8 most intense peaks (2θ = 10–80°), by intensity:
h k l, 2θ/deg, Rel. int.
1 2 1, 30.9, 100
2 0 1, 26.6, 30
4 1 0, 41.8, 25
3 0 0, 27.0, 23
2 3 1, 44.6, 21
1 1 0, 15.5, 21
0 1 1, 21.5, 18
0 0 2, 39.7, 15

Structure:
Cell lengths 11.4463, 11.4463, 4.5404 Å; angles 90.00, 90.00, 120.00 degrees
Space group P-3 (No. 147)
Unique sites:
Cs1 0.3333 0.6667 0.2474
Na1 0.0576 0.6235 0.7510
Na2 0.1144 0.8647 0.2449
S1 0.0000 0.0000 0.0000
S2 0.1057 0.4020 0.7432

Theoretical X-ray diffraction stick pattern of CsNaS5 for CuKα, from the PBE geometry in Alexandria.
Intensities are scaled so that the largest is 100.

The 8 most intense peaks (2θ = 10–80°), by intensity:
h k l, 2θ/deg, Rel. int.
0 0 2, 18.0, 100
2 0 0, 20.7, 77
1 3 1, 28.4, 65
2 0 2, 28.5, 51
1 3 2, 32.7, 40
1 1 -2, 21.7, 38
1 3 0, 26.6, 35
1 3 -2, 31.9, 33

Structure:
Cell lengths 8.5872, 10.9096, 9.9001 Å; angles 90.00, 94.05, 90.00 degrees
Space group C2/c (No. 15)
Unique sites:
Cs1 0.0000 0.0510 0.2500
Na1 0.0000 0.5000 0.0000
S1 0.0000 0.3391 0.7500
S2 0.1061 0.3469 0.2119
S3 0.1227 0.2424 0.6201

Theoretical X-ray diffraction stick pattern of Cs2Na4S for CuKα, from the PBE geometry in Alexandria.
Intensities are scaled so that the largest is 100.

The 8 most intense peaks (2θ = 10–80°), by intensity:
h k l, 2θ/deg, Rel. int.
1 0 3, 19.0, 100
1 0 5, 23.2, 54
1 1 0, 23.0, 40
2 1 3, 38.2, 33
2 0 0, 32.8, 28
1 1 2, 24.0, 26
2 1 5, 40.6, 25
3 1 0, 53.1, 20

Structure:
Cell lengths 5.4582, 5.4582, 27.0144 Å; angles 90.00, 90.00, 90.00 degrees
Space group I4/mmm (No. 139)
Unique sites:
Cs1 0.0000 0.0000 0.1850
Na1 0.0000 0.0000 0.3986
Na2 0.0000 0.5000 0.0000
S1 0.0000 0.0000 0.5000

Theoretical X-ray diffraction stick pattern of Cs2Na2US4 for CuKα, from the PBE geometry in Alexandria.
Intensities are scaled so that the largest is 100.

The 8 most intense peaks (2θ = 10–80°), by intensity:
h k l, 2θ/deg, Rel. int.
1 1 -2, 30.2, 100
1 1 0, 21.3, 77
3 1 1, 32.0, 60
4 0 -1, 22.3, 56
3 1 -1, 27.0, 55
2 0 0, 11.7, 43
0 0 2, 23.2, 42
4 0 1, 29.8, 37

Structure:
Cell lengths 16.1107, 4.3314, 8.1717 Å; angles 90.00, 110.48, 90.00 degrees
Space group C2/m (No. 12)
Unique sites:
Cs1 0.1367 0.0000 0.0534
Na1 0.1786 0.5000 0.4718
U1 0.0000 0.0000 0.5000
S1 0.0056 0.5000 0.2855
S2 0.1803 0.0000 0.6616